Computed X-ray powder pattern
Compound: Dy12Tl5Co2
Radiation: Cu Kα X-rays
Structure: DFT lattice parameters and positions (GGA-PBE)
Intensities are scaled so that the largest is 100.

Crystal structure
Lattice parameters (Å, degrees): 9.197 9.197 9.728 104.93 104.93 48.85
Sites, in units of the cell vectors:
Dy: 0.000 0.000 0.227
Dy: 0.000 0.000 0.773
Dy: 0.078 0.608 0.917
Dy: 0.101 0.595 0.425
Dy: 0.392 0.922 0.083
Dy: 0.405 0.899 0.575
Dy: 0.496 0.496 0.174
Dy: 0.504 0.504 0.826
Dy: 0.595 0.101 0.425
Dy: 0.608 0.078 0.917
Dy: 0.899 0.405 0.575
Dy: 0.922 0.392 0.083
Tl: 0.195 0.195 0.360
Tl: 0.195 0.195 0.839
Tl: 0.500 0.500 0.500
Tl: 0.805 0.805 0.161
Tl: 0.805 0.805 0.640
Co: 0.210 0.790 0.000
Co: 0.790 0.210 0.000

Main lines, in order of falling intensity (5° ≤ 2θ ≤ 70°):
- 30.4 deg, rel. 100
- 32.4 deg, rel. 70
- 33.5 deg, rel. 69
- 21.7 deg, rel. 62
- 20.3 deg, rel. 58
- 37.0 deg, rel. 49
- 34.2 deg, rel. 44
- 34.4 deg, rel. 41